Record 1
The following is a calculated XRD peak list of Pr12DyHo6. It was derived from DFT lattice parameters and positions (GGA-PBE), using Cu Kα X-rays.
Kinematic intensities with the Lorentz-polarization factor, no thermal factor.

Atomic structure:
```
Pr12DyHo6
1.0
7.941 4.584 2.982
-7.941 4.584 2.982
0.000 -9.169 2.982
Pr Dy Ho
12 1 6
direct
0.057 0.580 0.372 Pr
0.104 0.157 0.737 Pr
0.157 0.737 0.104 Pr
0.263 0.896 0.843 Pr
0.372 0.057 0.580 Pr
0.420 0.628 0.943 Pr
0.580 0.372 0.057 Pr
0.628 0.943 0.420 Pr
0.737 0.104 0.157 Pr
0.843 0.263 0.896 Pr
0.896 0.843 0.263 Pr
0.943 0.420 0.628 Pr
0.000 0.000 0.000 Dy
0.215 0.318 0.472 Ho
0.318 0.472 0.215 Ho
0.472 0.215 0.318 Ho
0.528 0.785 0.682 Ho
0.682 0.528 0.785 Ho
0.785 0.682 0.528 Ho
```

Top 8 peaks for 2θ from 10° to 80°, low angle first:
two_theta, I (rel.)
30.0, 100.0
34.8, 50.7
50.0, 36.2
59.4, 32.4
59.5, 10.7
62.3, 3.1
62.4, 9.3
73.4, 5.7

***

Record 2
The following is a calculated XRD peak list of Ca2Y2Pd15. It was derived from DFT lattice parameters and positions (GGA-PBE), using Cu Kα X-rays.
Kinematic intensities with the Lorentz-polarization factor, no thermal factor.

Atomic structure:
```
Ca2Y2Pd15
1.0
4.639 2.679 4.699
-4.639 2.679 4.699
0.000 -5.357 4.699
Ca Y Pd
2 2 15
direct
0.136 0.136 0.136 Ca
0.864 0.864 0.864 Ca
0.390 0.390 0.390 Y
0.610 0.610 0.610 Y
0.000 0.500 0.500 Pd
0.150 0.150 0.658 Pd
0.150 0.658 0.150 Pd
0.198 0.500 0.802 Pd
0.198 0.802 0.500 Pd
0.342 0.850 0.850 Pd
0.500 0.000 0.500 Pd
0.500 0.198 0.802 Pd
0.500 0.500 0.000 Pd
0.500 0.802 0.198 Pd
0.658 0.150 0.150 Pd
0.802 0.198 0.500 Pd
0.802 0.500 0.198 Pd
0.850 0.342 0.850 Pd
0.850 0.850 0.342 Pd
```

Top 8 peaks for 2θ from 10° to 80°, low angle first:
two_theta, I (rel.)
19.1, 36.6
33.8, 19.8
38.3, 33.0
38.7, 68.3
38.8, 39.6
43.2, 28.8
43.5, 100.0
70.3, 19.1

***

Record 3
The following is a calculated XRD peak list of Zn6Ga12Pt. It was derived from DFT lattice parameters and positions (GGA-PBE), using Cu Kα X-rays.
Kinematic intensities with the Lorentz-polarization factor, no thermal factor.

Atomic structure:
```
Zn6Ga12Pt
1.0
5.386 3.110 3.450
-5.386 3.110 3.450
0.000 -6.219 3.450
Zn Ga Pt
6 12 1
direct
0.033 0.224 0.313 Zn
0.224 0.313 0.033 Zn
0.313 0.033 0.224 Zn
0.687 0.967 0.776 Zn
0.776 0.687 0.967 Zn
0.967 0.776 0.687 Zn
0.005 0.855 0.332 Ga
0.145 0.668 0.995 Ga
0.176 0.496 0.621 Ga
0.332 0.005 0.855 Ga
0.379 0.824 0.504 Ga
0.496 0.621 0.176 Ga
0.504 0.379 0.824 Ga
0.621 0.176 0.496 Ga
0.668 0.995 0.145 Ga
0.824 0.504 0.379 Ga
0.855 0.332 0.005 Ga
0.995 0.145 0.668 Ga
0.500 0.500 0.500 Pt
```

Top 8 peaks for 2θ from 10° to 80°, low angle first:
two_theta, I (rel.)
26.7, 55.3
30.7, 89.9
38.9, 55.5
42.5, 42.4
43.2, 34.7
43.4, 100.0
44.5, 64.3
45.9, 47.4

***

Record 4
The following is a calculated XRD peak list of Nb3Cu. It was derived from DFT lattice parameters and positions (GGA-PBE), using Cu Kα X-rays.
Kinematic intensities with the Lorentz-polarization factor, no thermal factor.

Atomic structure:
```
Nb3Cu
1.0
3.310 0.000 0.000
0.000 3.310 0.000
0.000 0.000 12.353
Nb Cu
6 2
direct
0.250 0.250 0.070 Nb
0.250 0.250 0.331 Nb
0.250 0.250 0.798 Nb
0.750 0.750 0.202 Nb
0.750 0.750 0.669 Nb
0.750 0.750 0.930 Nb
0.250 0.250 0.550 Cu
0.750 0.750 0.450 Cu
```

Top 8 peaks for 2θ from 10° to 80°, low angle first:
two_theta, I (rel.)
34.8, 10.7
38.5, 62.8
39.9, 100.0
55.5, 20.9
59.9, 5.0
66.3, 5.8
70.6, 34.9
73.5, 10.5

***

Record 5
The following is a calculated XRD peak list of BaCrNi. It was derived from DFT lattice parameters and positions (GGA-PBE), using Cu Kα X-rays.
Kinematic intensities with the Lorentz-polarization factor, no thermal factor.

Atomic structure:
```
BaCrNi
1.0
4.089 0.000 0.000
-1.992 5.976 0.000
-1.207 -2.171 5.912
Ba Cr Ni
2 2 2
direct
0.245 0.370 0.201 Ba
0.755 0.630 0.799 Ba
0.127 0.922 0.431 Cr
0.873 0.078 0.569 Cr
0.461 0.042 0.818 Ni
0.539 0.958 0.182 Ni
```

Top 8 peaks for 2θ from 10° to 80°, low angle first:
two_theta, I (rel.)
25.4, 40.9
28.9, 38.6
30.2, 100.0
31.3, 63.8
31.7, 69.0
32.1, 64.9
41.5, 39.0
58.8, 35.3

***

Record 6
The following is a calculated XRD peak list of Tb2PmPrY2. It was derived from DFT lattice parameters and positions (GGA-PBE), using Cu Kα X-rays.
Kinematic intensities with the Lorentz-polarization factor, no thermal factor.

Atomic structure:
```
Tb2PmPrY2
1.0
6.683 0.000 0.000
0.000 17.917 0.000
0.000 0.000 3.412
Tb Pm Pr Y
4 2 2 4
direct
0.230 0.181 0.000 Tb
0.270 0.681 0.500 Tb
0.730 0.319 0.500 Tb
0.770 0.819 0.000 Tb
0.000 0.500 0.000 Pm
0.500 0.000 0.500 Pm
0.000 0.000 0.000 Pr
0.500 0.500 0.500 Pr
0.227 0.348 0.500 Y
0.273 0.848 0.000 Y
0.727 0.152 0.000 Y
0.773 0.652 0.500 Y
```

Top 8 peaks for 2θ from 10° to 80°, low angle first:
two_theta, I (rel.)
26.6, 29.2
28.5, 100.0
29.9, 76.0
30.2, 68.3
31.1, 39.9
33.5, 49.8
35.7, 34.2
40.7, 53.7

***

Record 7
The following is a calculated XRD peak list of Ac2HoF8. It was derived from DFT lattice parameters and positions (GGA-PBE), using Cu Kα X-rays.
Kinematic intensities with the Lorentz-polarization factor, no thermal factor.

Atomic structure:
```
Ac2HoF8
1.0
7.101 -2.043 0.000
7.101 2.043 0.000
-2.805 0.000 5.681
Ac Ho F
2 1 8
direct
0.170 0.170 0.176 Ac
0.830 0.830 0.824 Ac
0.500 0.500 0.500 Ho
0.030 0.030 0.720 F
0.216 0.216 0.605 F
0.331 0.331 0.081 F
0.425 0.425 0.765 F
0.575 0.575 0.235 F
0.669 0.669 0.919 F
0.784 0.784 0.395 F
0.970 0.970 0.280 F
```

Top 8 peaks for 2θ from 10° to 80°, low angle first:
two_theta, I (rel.)
25.3, 100.0
25.9, 75.9
28.2, 29.4
30.4, 56.0
41.8, 36.5
41.9, 32.7
48.5, 23.7
51.7, 36.1

***

Record 8
The following is a calculated XRD peak list of Tb4TlIn3. It was derived from DFT lattice parameters and positions (GGA-PBE), using Cu Kα X-rays.
Kinematic intensities with the Lorentz-polarization factor, no thermal factor.

Atomic structure:
```
Tb4TlIn3
1.0
3.776 0.000 0.000
0.000 3.776 0.000
0.000 0.000 15.198
Tb Tl In
4 1 3
direct
0.000 0.000 0.124 Tb
0.000 0.000 0.372 Tb
0.000 0.000 0.628 Tb
0.000 0.000 0.876 Tb
0.500 0.500 0.500 Tl
0.500 0.500 0.000 In
0.500 0.500 0.248 In
0.500 0.500 0.752 In
```

Top 8 peaks for 2θ from 10° to 80°, low angle first:
two_theta, I (rel.)
33.5, 100.0
33.6, 49.7
47.9, 9.1
48.2, 18.0
59.7, 18.6
59.9, 37.3
70.3, 11.4
79.9, 8.0